Diffraction record for YMg14Sb. The powder X-ray diffraction pattern is computed, not measured: it uses the PBE geometry in the Materials Project and Cu Kα, 1.54184 Å.
Intensities are scaled so that the largest is 100.

Most intense lines, 2θ from 10° to 90°, sorted by position:
2θ (°)  d/Å  I (rel.)
15.63  5.670  20
17.80  4.983  31
32.25  2.776  29
34.33  2.612  39
36.05  2.492  53
36.66  2.451  100

Structure:
```
YMg14Sb
1.0
10.4482 0.0000 0.0000
0.0000 3.1834 5.6695
0.0000 -3.1834 5.6695
Y Mg Sb
1 14 1
Direct
0.0000 0.0000 0.0000
0.0000 0.0033 0.4956
0.0000 0.4956 0.0033
0.2499 0.6668 0.6668
0.2550 0.1664 0.1664
0.2570 0.1635 0.6640
0.2570 0.6640 0.1635
0.5000 0.5003 0.5003
0.5000 0.5003 0.9978
0.5000 0.9978 0.5003
0.5000 0.9993 0.9993
0.7430 0.1635 0.6640
0.7430 0.6640 0.1635
0.7450 0.1664 0.1664
0.7501 0.6668 0.6668
0.0000 0.4977 0.4977
```